(1)
Computed powder diffraction line list
Compound: GaReAs
Radiation: copper Kα
Structure: DFT lattice parameters and positions (PBE)
Peak positions follow from Bragg's law for the DFT cell and can differ from measured ones.

Principal peaks in the range 2θ from 10° to 90°, sorted by position:
- d 3.474, rel. 37
- d 3.008, rel. 41
- d 2.127, rel. 100
- d 1.814, rel. 19
- d 1.737, rel. 11
- d 1.504, rel. 17
- d 1.345, rel. 15
- d 1.228, rel. 34

Cell and atoms:
```
GaReAs
1.0
0.000 3.008 3.008
3.008 0.000 3.008
3.008 3.008 0.000
Ga Re As
1 1 1
Direct
0.000 0.000 0.000
0.750 0.750 0.750
0.250 0.250 0.250
```

(2)
Computed powder diffraction line list
Compound: Sr3GaAs3
Radiation: copper Kα
Structure: DFT lattice parameters and positions (PBE)
Peak positions follow from Bragg's law for the DFT cell and can differ from measured ones.

Principal peaks in the range 2θ from 10° to 90°, sorted by position:
- d 3.281, rel. 35
- d 3.244, rel. 56
- d 3.231, rel. 47
- d 3.023, rel. 12
- d 2.305, rel. 100
- d 2.289, rel. 64
- d 1.877, rel. 22
- d 1.326, rel. 13

Cell and atoms:
```
Sr3GaAs3
1.0
12.922 0.000 0.000
0.000 19.466 0.000
0.000 0.000 6.562
Sr Ga As
24 8 24
Direct
0.013 0.074 0.222
0.013 0.426 0.222
0.020 0.250 0.831
0.232 0.250 0.313
0.235 0.073 0.691
0.235 0.427 0.691
0.265 0.573 0.191
0.265 0.927 0.191
0.268 0.750 0.813
0.480 0.750 0.331
0.487 0.574 0.722
0.487 0.926 0.722
0.513 0.074 0.278
0.513 0.426 0.278
0.520 0.250 0.669
0.732 0.250 0.187
0.735 0.073 0.809
0.735 0.427 0.809
0.765 0.573 0.309
0.765 0.927 0.309
0.768 0.750 0.687
0.980 0.750 0.169
0.987 0.574 0.778
0.987 0.926 0.778
0.126 0.663 0.486
0.126 0.837 0.486
0.374 0.163 0.986
0.374 0.337 0.986
0.626 0.663 0.014
0.626 0.837 0.014
0.874 0.163 0.514
0.874 0.337 0.514
0.011 0.590 0.266
0.011 0.910 0.266
0.016 0.750 0.688
0.235 0.750 0.289
0.242 0.590 0.706
0.242 0.910 0.706
0.258 0.090 0.206
0.258 0.410 0.206
0.265 0.250 0.789
0.484 0.250 0.188
0.489 0.090 0.766
0.489 0.410 0.766
0.511 0.590 0.234
0.511 0.910 0.234
0.516 0.750 0.812
0.735 0.750 0.211
0.742 0.590 0.794
0.742 0.910 0.794
0.758 0.090 0.294
0.758 0.410 0.294
0.765 0.250 0.711
0.984 0.250 0.312
0.989 0.090 0.734
0.989 0.410 0.734
```

(3)
Computed powder diffraction line list
Compound: Ga3Te3As
Radiation: copper Kα
Structure: DFT lattice parameters and positions (PBE)
Peak positions follow from Bragg's law for the DFT cell and can differ from measured ones.

Principal peaks in the range 2θ from 10° to 90°, sorted by position:
- d 3.431, rel. 100
- d 3.423, rel. 29
- d 2.110, rel. 29
- d 2.103, rel. 27
- d 2.087, rel. 28
- d 1.807, rel. 14
- d 1.784, rel. 19
- d 1.781, rel. 18

Cell and atoms:
```
Ga3Te3As
1.0
6.961 -2.086 0.000
6.961 2.086 0.000
-1.139 0.000 7.219
Ga Te As
3 3 1
Direct
0.000 0.000 0.000
0.501 0.501 0.466
0.747 0.747 0.246
0.193 0.193 0.017
0.424 0.424 0.792
0.689 0.689 0.565
0.931 0.931 0.298
```

(4)
Computed powder diffraction line list
Compound: Ga3Te3As
Radiation: copper Kα
Structure: DFT lattice parameters and positions (PBE)
Peak positions follow from Bragg's law for the DFT cell and can differ from measured ones.

Principal peaks in the range 2θ from 10° to 90°, sorted by position:
- d 3.454, rel. 89
- d 3.423, rel. 100
- d 2.114, rel. 84
- d 2.104, rel. 21
- d 2.077, rel. 21
- d 1.793, rel. 29
- d 1.780, rel. 27
- d 1.367, rel. 18

Cell and atoms:
```
Ga3Te3As
1.0
4.153 0.000 0.000
0.000 16.836 0.000
0.000 0.000 6.046
Ga Te As
6 6 2
Direct
0.000 0.056 0.000
0.000 0.567 0.982
0.000 0.816 0.976
0.500 0.184 0.476
0.500 0.433 0.482
0.500 0.944 0.500
0.000 0.191 0.760
0.000 0.429 0.763
0.000 0.690 0.726
0.500 0.310 0.226
0.500 0.571 0.263
0.500 0.809 0.260
0.000 0.939 0.741
0.500 0.061 0.241
```

(5)
Computed powder diffraction line list
Compound: GdAs
Radiation: copper Kα
Structure: DFT lattice parameters and positions (PBE)
Peak positions follow from Bragg's law for the DFT cell and can differ from measured ones.

Principal peaks in the range 2θ from 10° to 90°, sorted by position:
- d 3.405, rel. 21
- d 2.949, rel. 100
- d 2.085, rel. 75
- d 1.778, rel. 10
- d 1.702, rel. 26
- d 1.474, rel. 12
- d 1.319, rel. 34
- d 1.204, rel. 25

Cell and atoms:
```
GdAs
1.0
0.000 2.949 2.949
2.949 0.000 2.949
2.949 2.949 0.000
Gd As
1 1
Direct
0.000 0.000 0.000
0.500 0.500 0.500
```

(6)
Computed powder diffraction line list
Compound: K3GdAs2S8
Radiation: copper Kα
Structure: DFT lattice parameters and positions (PBE)
Peak positions follow from Bragg's law for the DFT cell and can differ from measured ones.

Principal peaks in the range 2θ from 10° to 90°, sorted by position:
- d 7.558, rel. 100
- d 4.572, rel. 16
- d 3.946, rel. 22
- d 3.336, rel. 29
- d 3.117, rel. 18
- d 3.064, rel. 26
- d 2.517, rel. 23
- d 2.331, rel. 19

Cell and atoms:
```
K3GdAs2S8
1.0
5.256 -9.551 0.000
5.256 9.551 0.000
-4.161 0.000 7.990
K Gd As S
6 2 4 16
Direct
0.000 0.000 0.000
0.000 0.000 0.500
0.238 0.762 0.750
0.495 0.505 0.750
0.505 0.495 0.250
0.762 0.238 0.250
0.257 0.743 0.250
0.743 0.257 0.750
0.157 0.405 0.898
0.405 0.157 0.398
0.595 0.843 0.602
0.843 0.595 0.102
0.001 0.357 0.654
0.027 0.375 0.059
0.235 0.259 0.873
0.259 0.235 0.373
0.341 0.633 0.477
0.357 0.001 0.154
0.367 0.659 0.023
0.375 0.027 0.559
0.625 0.973 0.441
0.633 0.341 0.977
0.643 0.999 0.846
0.659 0.367 0.523
0.741 0.765 0.627
0.765 0.741 0.127
0.973 0.625 0.941
0.999 0.643 0.346
```

(7)
Computed powder diffraction line list
Compound: GdNiAs
Radiation: copper Kα
Structure: DFT lattice parameters and positions (PBE)
Peak positions follow from Bragg's law for the DFT cell and can differ from measured ones.

Principal peaks in the range 2θ from 10° to 90°, sorted by position:
- d 3.539, rel. 15
- d 2.620, rel. 100
- d 2.043, rel. 42
- d 1.949, rel. 12
- d 1.611, rel. 23
- d 1.410, rel. 25
- d 1.265, rel. 20
- d 1.220, rel. 9

Cell and atoms:
```
GdNiAs
1.0
4.087 0.000 0.000
-2.043 3.539 0.000
0.000 0.000 3.898
Gd Ni As
1 1 1
Direct
0.000 0.000 0.000
0.333 0.667 0.500
0.667 0.333 0.500
```

(8)
Computed powder diffraction line list
Compound: Gd3As5O12
Radiation: copper Kα
Structure: DFT lattice parameters and positions (PBE)
Peak positions follow from Bragg's law for the DFT cell and can differ from measured ones.

Principal peaks in the range 2θ from 10° to 90°, sorted by position:
- d 7.597, rel. 37
- d 3.102, rel. 100
- d 2.871, rel. 12
- d 2.686, rel. 33
- d 1.899, rel. 43
- d 1.620, rel. 38
- d 1.232, rel. 13
- d 1.201, rel. 12

Cell and atoms:
```
Gd3As5O12
1.0
-5.372 5.372 5.372
5.372 -5.372 5.372
5.372 5.372 -5.372
Gd As O
6 10 24
Direct
0.250 0.500 0.750
0.250 0.750 0.500
0.500 0.250 0.750
0.500 0.750 0.250
0.750 0.250 0.500
0.750 0.500 0.250
0.000 0.000 0.504
0.000 0.287 0.287
0.000 0.504 0.000
0.000 0.713 0.713
0.287 0.000 0.287
0.287 0.287 0.000
0.496 0.496 0.496
0.504 0.000 0.000
0.713 0.000 0.713
0.713 0.713 0.000
0.000 0.297 0.482
0.000 0.482 0.297
0.000 0.525 0.808
0.000 0.808 0.525
0.185 0.703 0.703
0.192 0.192 0.717
0.192 0.717 0.192
0.283 0.475 0.475
0.297 0.000 0.482
0.297 0.482 0.000
0.475 0.283 0.475
0.475 0.475 0.283
0.482 0.000 0.297
0.482 0.297 0.000
0.518 0.518 0.815
0.518 0.815 0.518
0.525 0.000 0.808
0.525 0.808 0.000
0.703 0.185 0.703
0.703 0.703 0.185
0.717 0.192 0.192
0.808 0.000 0.525
0.808 0.525 0.000
0.815 0.518 0.518
```

(9)
Computed powder diffraction line list
Compound: Gd2As4O11
Radiation: copper Kα
Structure: DFT lattice parameters and positions (PBE)
Peak positions follow from Bragg's law for the DFT cell and can differ from measured ones.

Principal peaks in the range 2θ from 10° to 90°, sorted by position:
- d 8.158, rel. 100
- d 3.735, rel. 94
- d 3.126, rel. 40
- d 2.976, rel. 42
- d 2.780, rel. 53
- d 2.680, rel. 66
- d 1.993, rel. 22
- d 1.936, rel. 20

Cell and atoms:
```
Gd2As4O11
1.0
6.148 -2.685 0.000
6.148 2.685 0.000
-1.927 0.000 16.315
Gd As O
4 8 22
Direct
0.120 0.673 0.531
0.327 0.880 0.969
0.673 0.120 0.031
0.880 0.327 0.469
0.136 0.509 0.881
0.224 0.651 0.157
0.349 0.776 0.343
0.491 0.864 0.619
0.509 0.136 0.381
0.651 0.224 0.657
0.776 0.349 0.843
0.864 0.491 0.119
0.019 0.792 0.949
0.045 0.093 0.339
0.093 0.045 0.839
0.208 0.981 0.551
0.241 0.380 0.136
0.243 0.303 0.451
0.303 0.243 0.951
0.380 0.241 0.636
0.411 0.568 0.415
0.422 0.578 0.250
0.432 0.589 0.085
0.568 0.411 0.915
0.578 0.422 0.750
0.589 0.432 0.585
0.620 0.759 0.364
0.697 0.757 0.049
0.757 0.697 0.549
0.759 0.620 0.864
0.792 0.019 0.449
0.907 0.955 0.161
0.955 0.907 0.661
0.981 0.208 0.051
```

(10)
Computed powder diffraction line list
Compound: Gd3AsO7
Radiation: copper Kα
Structure: DFT lattice parameters and positions (PBE)
Peak positions follow from Bragg's law for the DFT cell and can differ from measured ones.

Principal peaks in the range 2θ from 10° to 90°, sorted by position:
- d 3.058, rel. 100
- d 2.983, rel. 30
- d 2.643, rel. 14
- d 2.630, rel. 15
- d 2.622, rel. 16
- d 1.885, rel. 10
- d 1.876, rel. 21
- d 1.846, rel. 18

Cell and atoms:
```
Gd3AsO7
1.0
6.362 0.000 0.000
0.917 6.387 0.000
0.008 2.169 7.181
Gd As O
6 2 14
Direct
0.042 0.498 0.247
0.241 0.030 0.621
0.251 0.996 0.123
0.749 0.004 0.877
0.759 0.970 0.379
0.958 0.502 0.753
0.500 0.500 0.000
0.500 0.500 0.500
0.059 0.141 0.847
0.067 0.137 0.334
0.223 0.446 0.541
0.224 0.466 0.977
0.414 0.565 0.233
0.427 0.802 0.458
0.440 0.814 0.893
0.560 0.186 0.107
0.573 0.198 0.542
0.586 0.435 0.767
0.776 0.534 0.023
0.777 0.554 0.459
0.933 0.863 0.666
0.941 0.859 0.153
```

Copy entry 10 word for word.
Computed powder diffraction line list
Compound: Gd3AsO7
Radiation: copper Kα
Structure: DFT lattice parameters and positions (PBE)
Peak positions follow from Bragg's law for the DFT cell and can differ from measured ones.

Principal peaks in the range 2θ from 10° to 90°, sorted by position:
- d 3.058, rel. 100
- d 2.983, rel. 30
- d 2.643, rel. 14
- d 2.630, rel. 15
- d 2.622, rel. 16
- d 1.885, rel. 10
- d 1.876, rel. 21
- d 1.846, rel. 18

Cell and atoms:
```
Gd3AsO7
1.0
6.362 0.000 0.000
0.917 6.387 0.000
0.008 2.169 7.181
Gd As O
6 2 14
Direct
0.042 0.498 0.247
0.241 0.030 0.621
0.251 0.996 0.123
0.749 0.004 0.877
0.759 0.970 0.379
0.958 0.502 0.753
0.500 0.500 0.000
0.500 0.500 0.500
0.059 0.141 0.847
0.067 0.137 0.334
0.223 0.446 0.541
0.224 0.466 0.977
0.414 0.565 0.233
0.427 0.802 0.458
0.440 0.814 0.893
0.560 0.186 0.107
0.573 0.198 0.542
0.586 0.435 0.767
0.776 0.534 0.023
0.777 0.554 0.459
0.933 0.863 0.666
0.941 0.859 0.153
```